# 1
Ti2PdF: simulated powder diffraction line list (Cu Kα X-rays), based on a DFT-relaxed cell (PBE, Alexandria).
Intensities are scaled so that the largest is 100.

Cell lengths 4.377, 4.377, 4.377 Å; angles 60.00, 60.00, 60.00 degrees
Fractional coordinates of all 4 atoms:
Ti  0.250  0.250  0.250
Ti  0.750  0.750  0.750
Pd  0.000  0.000  0.000
F  0.500  0.500  0.500

Largest 10 diffraction maxima, in order of falling intensity, 15 to 90 degrees two-theta:
d (Å)	2theta	Rel. int.
2.188	41.25	100.0
3.574	24.92	40.9
1.263	75.20	29.7
1.866	48.80	20.4
1.547	59.76	15.4
1.094	89.59	9.5
1.420	65.76	8.6
1.191	80.66	6.6
3.095	28.85	2.9
1.384	67.70	1.2

=====

# 2
VPHRuS: simulated powder diffraction line list (Cu Kα X-rays), based on a DFT-relaxed cell (PBE, Alexandria).
Intensities are scaled so that the largest is 100.

Cell lengths 7.126, 7.126, 7.126 Å; angles 25.86, 25.86, 25.86 degrees
Fractional coordinates of all 5 atoms:
V  0.000  0.000  0.000
P  0.259  0.259  0.259
H  0.161  0.161  0.161
Ru  0.854  0.854  0.854
S  0.737  0.737  0.737

Largest 10 diffraction maxima, in order of falling intensity, 15 to 90 degrees two-theta:
d (Å)	2theta	Rel. int.
2.737	32.72	100.0
2.016	44.96	71.1
1.886	48.26	55.1
2.668	33.60	54.0
1.594	57.84	45.0
2.295	39.25	42.8
3.442	25.89	33.8
1.377	68.08	23.8
1.169	82.48	15.3
1.309	72.14	15.0

=====

# 3
Pm2SiSe: simulated powder diffraction line list (Cu Kα X-rays), based on a DFT-relaxed cell (PBE, Alexandria).
Intensities are scaled so that the largest is 100.

Cell lengths 4.202, 5.962, 8.554 Å; angles 90.00, 90.00, 90.00 degrees
Fractional coordinates of all 8 atoms:
Pm  0.250  0.250  0.121
Pm  0.250  0.250  0.636
Pm  0.750  0.750  0.364
Pm  0.750  0.750  0.879
Si  0.250  0.750  0.127
Si  0.750  0.250  0.873
Se  0.250  0.750  0.621
Se  0.750  0.250  0.379

Largest 10 diffraction maxima, in order of falling intensity, 15 to 90 degrees two-theta:
d (Å)	2theta	Rel. int.
2.997	29.81	100.0
2.114	42.78	74.0
2.981	29.98	49.7
3.475	25.63	30.3
3.435	25.94	29.8
1.738	52.67	19.6
1.717	53.35	19.5
2.139	42.26	18.7
1.215	78.73	18.6
2.101	43.05	18.3

=====

# 4
HoPaS6: simulated powder diffraction line list (Cu Kα X-rays), based on a DFT-relaxed cell (PBE, Alexandria).
Intensities are scaled so that the largest is 100.

Cell lengths 7.452, 7.452, 7.452 Å; angles 60.00, 60.00, 60.00 degrees
Fractional coordinates of all 8 atoms:
Ho  0.000  0.000  0.000
Pa  0.500  0.500  0.500
S  0.254  0.254  0.746
S  0.254  0.746  0.254
S  0.254  0.746  0.746
S  0.746  0.254  0.254
S  0.746  0.254  0.746
S  0.746  0.746  0.254

Largest 10 diffraction maxima, in order of falling intensity, 15 to 90 degrees two-theta:
d (Å)	2theta	Rel. int.
5.270	16.82	100.0
2.357	38.19	50.8
3.726	23.88	41.6
2.635	34.03	29.1
1.757	52.07	26.0
1.863	48.89	20.3
2.151	42.00	20.1
1.278	74.20	14.7
1.462	63.67	11.4
1.408	66.38	10.9

=====

# 5
Ce2SiSeO4: simulated powder diffraction line list (Cu Kα X-rays), based on a DFT-relaxed cell (PBE, Alexandria).
Intensities are scaled so that the largest is 100.

Cell lengths 6.303, 7.262, 11.167 Å; angles 90.00, 90.00, 90.00 degrees
Fractional coordinates of all 32 atoms:
Ce  0.109  0.250  0.000
Ce  0.109  0.250  0.500
Ce  0.367  0.533  0.250
Ce  0.367  0.967  0.750
Ce  0.633  0.033  0.250
Ce  0.633  0.467  0.750
Ce  0.891  0.750  0.000
Ce  0.891  0.750  0.500
Si  0.385  0.750  0.000
Si  0.385  0.750  0.500
Si  0.615  0.250  0.000
Si  0.615  0.250  0.500
Se  0.071  0.619  0.750
Se  0.071  0.881  0.250
Se  0.929  0.119  0.750
Se  0.929  0.381  0.250
O  0.229  0.575  0.031
O  0.229  0.575  0.469
O  0.229  0.925  0.531
O  0.229  0.925  0.969
O  0.455  0.235  0.617
O  0.455  0.235  0.883
O  0.455  0.265  0.117
O  0.455  0.265  0.383
O  0.545  0.735  0.617
O  0.545  0.735  0.883
O  0.545  0.765  0.117
O  0.545  0.765  0.383
O  0.771  0.075  0.031
O  0.771  0.075  0.469
O  0.771  0.425  0.531
O  0.771  0.425  0.969

Largest 10 diffraction maxima, in order of falling intensity, 15 to 90 degrees two-theta:
d (Å)	2theta	Rel. int.
2.795	32.02	100.0
3.044	29.34	75.3
2.567	34.95	34.5
4.379	20.28	31.1
3.623	24.57	30.2
2.283	39.47	27.9
2.088	43.33	23.8
4.179	21.26	23.3
1.815	50.26	21.0
3.028	29.50	19.9

=====

# 6
RbReNi: simulated powder diffraction line list (Cu Kα X-rays), based on a DFT-relaxed cell (PBE, Alexandria).
Intensities are scaled so that the largest is 100.

Cell lengths 4.125, 4.125, 12.428 Å; angles 98.97, 90.37, 119.99 degrees
Fractional coordinates of all 6 atoms:
Rb  0.000  0.000  0.000
Rb  0.212  0.395  0.617
Re  0.104  0.192  0.300
Re  0.466  0.913  0.385
Ni  0.401  0.791  0.192
Ni  0.762  0.510  0.275

Largest 10 diffraction maxima, in order of falling intensity, 15 to 90 degrees two-theta:
d (Å)	2theta	Rel. int.
2.063	43.90	100.0
4.072	21.83	66.8
3.556	25.04	44.6
2.036	44.50	37.6
3.507	25.40	36.9
2.446	36.74	33.3
2.032	44.60	31.1
2.439	36.86	29.8
2.425	37.08	28.4
1.837	49.63	25.4

=====

# 7
Tm2MgAu: simulated powder diffraction line list (Cu Kα X-rays), based on a DFT-relaxed cell (PBE, Alexandria).
Intensities are scaled so that the largest is 100.

Cell lengths 5.126, 5.126, 5.126 Å; angles 60.00, 60.00, 60.00 degrees
Fractional coordinates of all 4 atoms:
Tm  0.250  0.250  0.250
Tm  0.750  0.750  0.750
Mg  0.000  0.000  0.000
Au  0.500  0.500  0.500

Largest 10 diffraction maxima, in order of falling intensity, 15 to 90 degrees two-theta:
d (Å)	2theta	Rel. int.
2.563	35.01	100.0
1.480	62.80	37.2
4.185	21.23	21.4
1.812	50.35	18.0
1.146	84.54	16.7
2.186	41.31	12.2
1.281	73.97	11.6
1.663	55.23	5.3
3.625	24.56	5.0
1.225	77.98	4.0